1.
Diffraction record for Tb2Al3Cd3. The powder X-ray diffraction pattern is calculated, not measured: it uses a crystal structure in OQMD, relaxed with GGA-PBE and Cu Kα.

Structural model:
Cell: 4.8483 6.3799 11.0959 Å, 90.00 90.00 90.00°
Space group Amm2 (No. 38)
Unique sites:
Tb 0.0000 0.0000 0.0000 [2 per cell]
Tb 0.5000 0.0000 0.3351 [2 per cell]
Al 0.0000 0.0000 0.5076 [2 per cell]
Al 0.5000 0.2269 0.5828 [4 per cell]
Cd 0.0000 0.2422 0.7397 [4 per cell]
Cd 0.5000 0.0000 0.8229 [2 per cell]

Most intense lines, 10° ≤ 2θ ≤ 80°, by angle:
2θ 15.99, I 214, hkl 0 0 2
2θ 24.40, I 271, hkl 1 0 2
2θ 32.37, I 180, hkl 0 2 2
2θ 37.09, I 230, hkl 2 0 0
2θ 37.41, I 1000, hkl 1 0 4
2θ 50.01, I 148, hkl 2 2 2
2θ 57.61, I 118, hkl 0 2 6
2θ 67.06, I 174, hkl 3 0 4
2θ 70.53, I 127, hkl 2 2 6
2θ 70.68, I 108, hkl 2 4 0

=====

2.
Diffraction record for HgPd4. The powder X-ray diffraction pattern is calculated, not measured: it uses a crystal structure in OQMD, relaxed with GGA-PBE and Cu Kα.

Structural model:
Cell: 7.3901 7.3901 3.1397 Å, 90.00 90.00 90.00°
Space group P4/mbm (No. 127)
Unique sites:
Hg 0.0000 0.0000 0.0000 [2 per cell]
Pd 0.1405 0.3595 0.0000 [4 per cell]
Pd 0.1559 0.6559 0.5000 [4 per cell]

Most intense lines, 10° ≤ 2θ ≤ 80°, by angle:
2θ 33.29, I 240, hkl 1 1 1
2θ 34.32, I 196, hkl 2 2 0
2θ 37.59, I 309, hkl 2 0 1
2θ 38.52, I 962, hkl 3 1 0
2θ 39.59, I 1000, hkl 2 1 1
2θ 48.56, I 216, hkl 3 1 1
2θ 55.62, I 153, hkl 4 2 0
2θ 58.82, I 143, hkl 0 0 2
2θ 72.54, I 298, hkl 3 1 2
2θ 75.63, I 210, hkl 5 2 1

=====

3.
Diffraction record for YCdGaCo. The powder X-ray diffraction pattern is calculated, not measured: it uses a crystal structure in OQMD, relaxed with GGA-PBE and Cu Kα.

Structural model:
Cell: 6.6934 6.6934 6.6934 Å, 90.00 90.00 90.00°
Space group F-43m (No. 216)
Unique sites:
Y 0.0000 0.0000 0.0000 [4 per cell]
Cd 0.2500 0.2500 0.2500 [4 per cell]
Ga 0.0000 0.0000 0.5000 [4 per cell]
Co 0.2500 0.2500 0.7500 [4 per cell]

Most intense lines, 10° ≤ 2θ ≤ 80°, by angle:
2θ 23.01, I 65, hkl 1 1 1
2θ 38.02, I 1000, hkl 2 2 0
2θ 44.91, I 33, hkl 3 1 1
2θ 54.87, I 165, hkl 4 0 0
2θ 60.27, I 14, hkl 3 3 1
2θ 68.70, I 325, hkl 4 2 2
2θ 73.52, I 10, hkl 5 1 1

=====

4.
Diffraction record for Na3PdCl6. The powder X-ray diffraction pattern is calculated, not measured: it uses a crystal structure in OQMD, relaxed with GGA-PBE and Cu Kα.

Structural model:
Cell: 10.0197 10.0197 10.0197 Å, 90.00 90.00 90.00°
Space group Fm-3m (No. 225)
Unique sites:
Na 0.0000 0.0000 0.0000 [4 per cell]
Na 0.2500 0.2500 0.2500 [8 per cell]
Pd 0.0000 0.0000 0.5000 [4 per cell]
Cl 0.0000 0.0000 0.2614 [24 per cell]

Most intense lines, 10° ≤ 2θ ≤ 80°, by angle:
2θ 15.32, I 712, hkl 1 1 1
2θ 17.70, I 1000, hkl 2 0 0
2θ 25.14, I 389, hkl 2 2 0
2θ 29.57, I 266, hkl 3 1 1
2θ 30.92, I 223, hkl 2 2 2
2θ 35.85, I 980, hkl 4 0 0
2θ 40.25, I 421, hkl 4 2 0
2θ 51.60, I 614, hkl 4 4 0
2θ 54.99, I 199, hkl 6 0 0
2θ 64.42, I 195, hkl 4 4 4

=====

5.
Diffraction record for Cu3Ag4. The powder X-ray diffraction pattern is calculated, not measured: it uses a crystal structure in OQMD, relaxed with GGA-PBE and Cu Kα.

Structural model:
Cell: 2.8076 2.8076 47.4453 Å, 90.00 90.00 120.00°
Space group R3m (No. 160, hexagonal axes)
Unique sites:
Cu 0.0000 0.0000 0.0000 [3 per cell]
Cu 0.0000 0.0000 0.1350 [3 per cell]
Cu 0.0000 0.0000 0.7078 [3 per cell]
Ag 0.0000 0.0000 0.2864 [3 per cell]
Ag 0.0000 0.0000 0.4215 [3 per cell]
Ag 0.0000 0.0000 0.5673 [3 per cell]
Ag 0.0000 0.0000 0.8485 [3 per cell]

Most intense lines, 10° ≤ 2θ ≤ 80°, by angle:
2θ 28.21, I 35, hkl 0 0 15
2θ 34.01, I 56, hkl 0 0 18
2θ 39.37, I 1000, hkl 1 0 7
2θ 39.90, I 264, hkl 0 0 21
2θ 42.69, I 47, hkl 0 1 11
2θ 45.94, I 600, hkl 0 1 14
2θ 62.04, I 41, hkl 1 0 25
2θ 66.62, I 198, hkl 1 1 0
2θ 67.36, I 129, hkl 1 0 28
2θ 75.03, I 30, hkl 0 1 32

=====

6.
Diffraction record for Pr14C. The powder X-ray diffraction pattern is calculated, not measured: it uses a crystal structure in OQMD, relaxed with GGA-PBE and Cu Kα.

Structural model:
Cell: 10.0918 10.0918 18.3959 Å, 90.00 90.00 120.00°
Space group R-3m (No. 166, hexagonal axes)
Unique sites:
Pr 0.0000 0.0000 0.1312 [6 per cell]
Pr 0.0000 0.3185 0.5000 [18 per cell]
Pr 0.0437 0.5219 0.3398 [18 per cell]
C 0.0000 0.0000 0.0000 [3 per cell]

Most intense lines, 10° ≤ 2θ ≤ 80°, by angle:
2θ 17.58, I 180, hkl 1 1 0
2θ 22.53, I 148, hkl 2 0 2
2θ 27.43, I 360, hkl 2 1 1
2θ 28.17, I 325, hkl 0 2 4
2θ 29.13, I 415, hkl 0 0 6
2θ 30.69, I 224, hkl 3 0 0
2θ 34.07, I 1000, hkl 3 0 3
2θ 34.22, I 174, hkl 1 1 6
2θ 38.59, I 284, hkl 2 2 3
2θ 58.08, I 156, hkl 2 2 9